Structure and calculated powder XRD pattern of LiVP4O12 (a DFT-relaxed cell (PBE+U, the Materials Project); Cu Kα (weighted mean of Kα1 and Kα2)).
Lines closer than 0.1° are merged.

Largest 8 diffraction maxima, by angle, 10° ≤ 2θ ≤ 90°:
two_theta  d_spacing  intensity
12.28  7.205  60
12.89  6.867  100
13.88  6.380  35
23.17  3.838  33
23.60  3.770  70
24.71  3.603  45
25.83  3.450  30
31.17  2.870  34

Structural model:
```
data_LiVP4O12
_chemical_formula_sum 'Li2 V2 P8 O24'
_cell_length_a 5.2690
_cell_length_b 13.7346
_cell_length_c 7.2633
_cell_angle_alpha 90.00
_cell_angle_beta 97.26
_cell_angle_gamma 90.00
_space_group_name_H-M_alt 'P 1'
_space_group_IT_number 1
_space_group_name_Hall 'P 1'
loop_
_atom_site_label
_atom_site_type_symbol
_atom_site_fract_x
_atom_site_fract_y
_atom_site_fract_z
_atom_site_occupancy
Li1 Li 0.1188 0.0000 0.1138 1
Li2 Li 0.8812 0.5000 0.8862 1
V1 V 0.0142 0.2283 0.5070 1
V2 V 0.9858 0.7283 0.4930 1
P1 P 0.2793 0.8119 0.8847 1
P2 P 0.3612 0.1634 0.8984 1
P3 P 0.4690 0.5902 0.4488 1
P4 P 0.4963 0.3678 0.4542 1
P5 P 0.5037 0.8678 0.5458 1
P6 P 0.5310 0.0902 0.5512 1
P7 P 0.6388 0.6634 0.1016 1
P8 P 0.7207 0.3119 0.1153 1
O1 O 0.1119 0.7419 0.7625 1
O2 O 0.1352 0.2066 0.7756 1
O3 O 0.1550 0.8915 0.9768 1
O4 O 0.1964 0.6016 0.4896 1
O5 O 0.2242 0.3523 0.4936 1
O6 O 0.2932 0.8118 0.4346 1
O7 O 0.3149 0.1036 0.0599 1
O8 O 0.3293 0.1532 0.4486 1
O9 O 0.4356 0.9807 0.5048 1
O10 O 0.4510 0.7527 0.0434 1
O11 O 0.4687 0.5978 0.2277 1
O12 O 0.4948 0.8571 0.7651 1
O13 O 0.5052 0.3571 0.2349 1
O14 O 0.5313 0.0978 0.7723 1
O15 O 0.5490 0.2527 0.9566 1
O16 O 0.5644 0.4807 0.4952 1
O17 O 0.6707 0.6532 0.5514 1
O18 O 0.6851 0.6036 0.9401 1
O19 O 0.7068 0.3118 0.5654 1
O20 O 0.7758 0.8523 0.5064 1
O21 O 0.8036 0.1016 0.5104 1
O22 O 0.8450 0.3915 0.0232 1
O23 O 0.8648 0.7066 0.2244 1
O24 O 0.8881 0.2419 0.2375 1
```



Structure and calculated powder XRD pattern of LiVP2O7 (a DFT-relaxed cell (PBE+U, the Materials Project); Cu Kα (weighted mean of Kα1 and Kα2)).
Lines closer than 0.1° are merged.

Largest 8 diffraction maxima, by angle, 10° ≤ 2θ ≤ 90°:
two_theta  d_spacing  intensity
15.99  5.543  100
16.66  5.322  16
23.65  3.762  71
28.49  3.133  9
29.47  3.031  30
30.72  2.910  32
35.06  2.560  15
39.23  2.297  19

Structural model:
```
data_LiVP2O7
_chemical_formula_sum 'Li4 V4 P8 O28'
_cell_length_a 7.0946
_cell_length_b 10.2391
_cell_length_c 8.0972
_cell_angle_alpha 90.00
_cell_angle_beta 111.69
_cell_angle_gamma 90.00
_space_group_name_H-M_alt 'P 1'
_space_group_IT_number 1
_space_group_name_Hall 'P 1'
loop_
_atom_site_label
_atom_site_type_symbol
_atom_site_fract_x
_atom_site_fract_y
_atom_site_fract_z
_atom_site_occupancy
Li1 Li 0.1295 0.1501 0.0607 1
Li2 Li 0.1295 0.3499 0.5607 1
Li3 Li 0.8705 0.6501 0.4393 1
Li4 Li 0.8705 0.8499 0.9393 1
V1 V 0.2307 0.6064 0.2567 1
V2 V 0.2307 0.8936 0.7567 1
V3 V 0.7693 0.1064 0.2433 1
V4 V 0.7693 0.3936 0.7433 1
P1 P 0.1383 0.5942 0.8138 1
P2 P 0.1383 0.9058 0.3138 1
P3 P 0.4714 0.6490 0.7061 1
P4 P 0.4714 0.8510 0.2061 1
P5 P 0.5286 0.1490 0.7939 1
P6 P 0.5286 0.3510 0.2939 1
P7 P 0.8617 0.0942 0.6862 1
P8 P 0.8617 0.4058 0.1862 1
O1 O 0.0265 0.0253 0.2063 1
O2 O 0.0265 0.4747 0.7063 1
O3 O 0.0592 0.7207 0.7059 1
O4 O 0.0592 0.7793 0.2059 1
O5 O 0.1276 0.6017 0.9954 1
O6 O 0.1276 0.8983 0.4954 1
O7 O 0.3196 0.6278 0.5167 1
O8 O 0.3196 0.8722 0.0167 1
O9 O 0.3287 0.0783 0.7601 1
O10 O 0.3287 0.4217 0.2601 1
O11 O 0.3721 0.5763 0.8343 1
O12 O 0.3721 0.9237 0.3343 1
O13 O 0.4986 0.2074 0.2356 1
O14 O 0.4986 0.2926 0.7356 1
O15 O 0.5014 0.7074 0.2644 1
O16 O 0.5014 0.7926 0.7644 1
O17 O 0.6279 0.0763 0.6657 1
O18 O 0.6279 0.4237 0.1657 1
O19 O 0.6713 0.5783 0.7399 1
O20 O 0.6713 0.9217 0.2399 1
O21 O 0.6804 0.1278 0.9833 1
O22 O 0.6804 0.3722 0.4833 1
O23 O 0.8724 0.1017 0.5046 1
O24 O 0.8724 0.3983 0.0046 1
O25 O 0.9408 0.2207 0.7941 1
O26 O 0.9408 0.2793 0.2941 1
O27 O 0.9735 0.5253 0.2937 1
O28 O 0.9735 0.9747 0.7937 1
```



Structure and calculated powder XRD pattern of LiV3P6O20 (a DFT-relaxed cell (PBE+U, the Materials Project); Cu Kα (weighted mean of Kα1 and Kα2)).
Lines closer than 0.1° are merged.

Largest 8 diffraction maxima, by angle, 10° ≤ 2θ ≤ 90°:
two_theta  d_spacing  intensity
12.83  6.899  83
14.08  6.289  43
17.74  5.001  17
21.55  4.124  100
22.31  3.985  51
30.42  2.938  38
32.01  2.796  13
34.38  2.609  12

Structural model:
```
data_LiV3P6O20
_chemical_formula_sum 'Li2 V6 P12 O40'
_cell_length_a 12.5778
_cell_length_b 8.6120
_cell_length_c 8.6120
_cell_angle_alpha 106.72
_cell_angle_beta 90.00
_cell_angle_gamma 90.00
_space_group_name_H-M_alt 'P 1'
_space_group_IT_number 1
_space_group_name_Hall 'P 1'
loop_
_atom_site_label
_atom_site_type_symbol
_atom_site_fract_x
_atom_site_fract_y
_atom_site_fract_z
_atom_site_occupancy
Li1 Li 0.0000 0.0000 0.0000 1
Li2 Li 0.5000 0.5000 0.5000 1
V1 V 0.0000 0.2760 0.2760 1
V2 V 0.2111 0.6671 0.2194 1
V3 V 0.2889 0.1671 0.7194 1
V4 V 0.5000 0.7760 0.7760 1
V5 V 0.7111 0.7194 0.1671 1
V6 V 0.7889 0.2194 0.6671 1
P1 P 0.0538 0.2701 0.6477 1
P2 P 0.2001 0.5309 0.7997 1
P3 P 0.2126 0.2565 0.1188 1
P4 P 0.2874 0.7565 0.6188 1
P5 P 0.2999 0.0309 0.2997 1
P6 P 0.4462 0.7701 0.1477 1
P7 P 0.5538 0.1477 0.7701 1
P8 P 0.7001 0.2997 0.0310 1
P9 P 0.7126 0.6188 0.7565 1
P10 P 0.7874 0.1188 0.2565 1
P11 P 0.7999 0.7997 0.5309 1
P12 P 0.9462 0.6477 0.2701 1
O1 O 0.0576 0.7010 0.2473 1
O2 O 0.0652 0.2622 0.4664 1
O3 O 0.0835 0.4570 0.7451 1
O4 O 0.1028 0.1647 0.1073 1
O5 O 0.1318 0.1544 0.6918 1
O6 O 0.1937 0.4286 0.2236 1
O7 O 0.1951 0.6045 0.9797 1
O8 O 0.2052 0.6768 0.7196 1
O9 O 0.2161 0.9077 0.2242 1
O10 O 0.2367 0.7329 0.4561 1
O11 O 0.2633 0.2329 0.9561 1
O12 O 0.2839 0.4077 0.7242 1
O13 O 0.2948 0.1768 0.2196 1
O14 O 0.3049 0.1045 0.4797 1
O15 O 0.3063 0.9286 0.7236 1
O16 O 0.3682 0.6544 0.1918 1
O17 O 0.3972 0.6647 0.6073 1
O18 O 0.4165 0.9570 0.2451 1
O19 O 0.4348 0.7622 0.9664 1
O20 O 0.4424 0.2010 0.7473 1
O21 O 0.5576 0.7473 0.2010 1
O22 O 0.5652 0.9664 0.7622 1
O23 O 0.5835 0.2451 0.9570 1
O24 O 0.6028 0.6073 0.6647 1
O25 O 0.6318 0.1918 0.6544 1
O26 O 0.6937 0.7236 0.9286 1
O27 O 0.6951 0.4797 0.1045 1
O28 O 0.7052 0.2196 0.1768 1
O29 O 0.7161 0.7242 0.4077 1
O30 O 0.7367 0.9561 0.2329 1
O31 O 0.7633 0.4561 0.7329 1
O32 O 0.7839 0.2242 0.9077 1
O33 O 0.7948 0.7196 0.6768 1
O34 O 0.8049 0.9797 0.6045 1
O35 O 0.8063 0.2236 0.4286 1
O36 O 0.8682 0.6918 0.1544 1
O37 O 0.8972 0.1073 0.1647 1
O38 O 0.9165 0.7451 0.4570 1
O39 O 0.9348 0.4664 0.2622 1
O40 O 0.9424 0.2473 0.7010 1
```